(1)
The following is a theoretical powder XRD pattern of BaCu10P4. It was derived from a crystal structure in OQMD, relaxed with GGA-PBE, using copper Kα.
Kinematic intensities with the Lorentz-polarization factor, no thermal factor.

Main lines, low angle first (2θ = 5–70°):
32.65°, I = 26
35.60°, I = 83
36.94°, I = 95
37.96°, I = 75
39.78°, I = 22
42.03°, I = 76
44.98°, I = 51
45.67°, I = 35
46.96°, I = 100
49.74°, I = 28

Structural model:
```
data_BaCu10P4
_chemical_formula_sum 'Ba4 Cu40 P16'
_symmetry_space_group_name_H-M 'C 1 2/m 1'
_symmetry_Int_Tables_number 12
_cell_length_a 23.2971
_cell_length_b 3.8695
_cell_length_c 9.5579
_cell_angle_alpha 90.00
_cell_angle_beta 92.95
_cell_angle_gamma 90.00
loop_
_symmetry_equiv_pos_as_xyz
'x,y,z'
'-x,-y,-z'
'-x,y,-z'
'x,-y,z'
'x+1/2,y+1/2,z'
'-x+1/2,-y+1/2,-z'
'-x+1/2,y+1/2,-z'
'x+1/2,-y+1/2,z'
loop_
_atom_site_label
_atom_site_fract_x
_atom_site_fract_y
_atom_site_fract_z
Ba1 0.1430 0.0000 0.2826
Cu1 0.0265 0.5000 0.3825
Cu2 0.0326 0.5000 0.1187
Cu3 0.0491 0.0000 0.5716
Cu4 0.0569 0.0000 0.9510
Cu5 0.0869 0.5000 0.7723
Cu6 0.1510 0.0000 0.6511
Cu7 0.1664 0.0000 0.9286
Cu8 0.2134 0.5000 0.5349
Cu9 0.2138 0.5000 0.8017
Cu10 0.2236 0.5000 0.0680
P1 0.0078 0.0000 0.2370
P2 0.1082 0.5000 0.5369
P3 0.1211 0.5000 0.0040
P4 0.2475 0.0000 0.6886
```

=====

(2)
The following is a theoretical powder XRD pattern of BaCuSi2P3. It was derived from a crystal structure in OQMD, relaxed with GGA-PBE, using copper Kα.
Kinematic intensities with the Lorentz-polarization factor, no thermal factor.

Main lines, low angle first (2θ = 5–70°):
17.35°, I = 38
22.07°, I = 20
22.40°, I = 35
29.65°, I = 100
32.50°, I = 24
33.54°, I = 45
35.12°, I = 22
38.93°, I = 33
53.42°, I = 23
53.77°, I = 21

Structural model:
```
data_BaCuSi2P3
_chemical_formula_sum 'Ba2 Cu2 Si4 P6'
_symmetry_space_group_name_H-M 'P 1 21/m 1'
_symmetry_Int_Tables_number 11
_cell_length_a 4.5618
_cell_length_b 10.2203
_cell_length_c 6.9280
_cell_angle_alpha 90.00
_cell_angle_beta 109.19
_cell_angle_gamma 90.00
loop_
_symmetry_equiv_pos_as_xyz
'x,y,z'
'-x,-y,-z'
'-x,y+1/2,-z'
'x,-y+1/2,z'
loop_
_atom_site_label
_atom_site_fract_x
_atom_site_fract_y
_atom_site_fract_z
Ba1 0.2198 0.2500 0.0062
Cu1 0.4227 0.2500 0.5914
Si1 0.2318 0.5591 0.5273
P1 0.0850 0.7500 0.6341
P2 0.3765 0.5527 0.2423
```

=====

(3)
The following is a theoretical powder XRD pattern of Ba2CuSb2Pd. It was derived from a crystal structure in OQMD, relaxed with GGA-PBE, using copper Kα.
Kinematic intensities with the Lorentz-polarization factor, no thermal factor.

Main lines, low angle first (2θ = 5–70°):
18.13°, I = 6
24.04°, I = 2
28.83°, I = 100
36.74°, I = 18
39.01°, I = 46
43.34°, I = 4
49.23°, I = 22
54.66°, I = 34
61.40°, I = 12
64.53°, I = 20

Structural model:
```
data_Ba2CuSb2Pd
_chemical_formula_sum 'Ba2 Cu1 Sb2 Pd1'
_symmetry_space_group_name_H-M 'P -6 m 2'
_symmetry_Int_Tables_number 187
_symmetry_space_group_name_Hall 'P -6 2'
_cell_length_a 4.6176
_cell_length_b 4.6176
_cell_length_c 9.7850
_cell_angle_alpha 90.00
_cell_angle_beta 90.00
_cell_angle_gamma 120.00
loop_
_atom_site_label
_atom_site_fract_x
_atom_site_fract_y
_atom_site_fract_z
Ba1 0.0000 0.0000 0.2491
Cu1 0.6667 0.3333 0.5000
Sb1 0.3333 0.6667 0.5000
Sb2 0.6667 0.3333 0.0000
Pd1 0.3333 0.6667 0.0000
```